No. 1
Starting from a DFT-relaxed cell (GGA-PBE, the Materials Project), the powder XRD pattern of CrNi2 was computed for λ = 1.5418 Å (Cu Kα).
Kinematic intensities with the Lorentz-polarization factor, no thermal factor.

```
data_CrNi2
_symmetry_space_group_name_H-M 'I m m m'
_symmetry_Int_Tables_number 71
_symmetry_space_group_name_Hall '-I 2 2'
_cell_length_a 2.474
_cell_length_b 3.554
_cell_length_c 7.421
_cell_angle_alpha 90.00
_cell_angle_beta 90.00
_cell_angle_gamma 90.00
loop_
_atom_site_label
_atom_site_type_symbol
_atom_site_fract_x
_atom_site_fract_y
_atom_site_fract_z
_atom_site_occupancy
Cr1 Cr 0.000 0.000 0.000 1
Ni1 Ni 0.000 0.000 0.334 1
```

Peak list (6 most intense, 2θ from 10° to 90°, by angle)
- 2θ 27.8, d = 3.205 Å, I = 1, hkl 0 1 1
- 2θ 44.6, d = 2.030 Å, I = 100, hkl 1 1 0
- 2θ 51.4, d = 1.777 Å, I = 16, hkl 0 2 0
- 2θ 52.3, d = 1.749 Å, I = 30, hkl 1 0 3
- 2θ 76.4, d = 1.247 Å, I = 18, hkl 1 2 3
- 2θ 77.1, d = 1.237 Å, I = 9, hkl 2 0 0

No. 2
Starting from a DFT-relaxed cell (GGA-PBE, the Materials Project), the powder XRD pattern of CrNi2 was computed for λ = 1.5418 Å (Cu Kα).
Kinematic intensities with the Lorentz-polarization factor, no thermal factor.

Cell: 6.631 6.631 6.631 Å, 90.00 90.00 90.00°
Space group Fd-3m (No. 227, origin choice 2)
Unique sites:
Cr (0.125, 0.125, 0.125) (multiplicity 8)
Ni (0.000, 0.000, 0.500) (multiplicity 16)

Peak list (10 most intense, 2θ from 10° to 90°, by angle)
- 2θ 23.2, d = 3.829 Å, I = 14, hkl 1 1 1
- 2θ 38.4, d = 2.345 Å, I = 22, hkl 2 2 0
- 2θ 45.4, d = 1.999 Å, I = 100, hkl 3 1 1
- 2θ 47.5, d = 1.914 Å, I = 47, hkl 2 2 2
- 2θ 55.4, d = 1.658 Å, I = 8, hkl 4 0 0
- 2θ 60.9, d = 1.521 Å, I = 3, hkl 3 3 1
- 2θ 69.4, d = 1.354 Å, I = 6, hkl 4 2 2
- 2θ 74.3, d = 1.276 Å, I = 27, hkl 5 1 1
- 2θ 82.2, d = 1.172 Å, I = 24, hkl 4 4 0
- 2θ 86.9, d = 1.121 Å, I = 2, hkl 5 3 1

No. 3
Starting from a DFT-relaxed cell (GGA-PBE, the Materials Project), the powder XRD pattern of Cr3Ni was computed for λ = 1.5418 Å (Cu Kα).
Kinematic intensities with the Lorentz-polarization factor, no thermal factor.

```
data_Cr3Ni
_symmetry_space_group_name_H-M 'F m -3 m'
_symmetry_Int_Tables_number 225
_symmetry_space_group_name_Hall '-F 4 2 3'
_cell_length_a 5.760
_cell_length_b 5.760
_cell_length_c 5.760
_cell_angle_alpha 90.00
_cell_angle_beta 90.00
_cell_angle_gamma 90.00
loop_
_atom_site_label
_atom_site_type_symbol
_atom_site_fract_x
_atom_site_fract_y
_atom_site_fract_z
_atom_site_occupancy
Cr1 Cr 0.000 0.000 0.000 1
Cr2 Cr 0.250 0.250 0.250 1
Ni1 Ni 0.000 0.000 0.500 1
```

Peak list (4 most intense, 2θ from 10° to 90°, by angle)
- 2θ 26.8, d = 3.325 Å, I = 1, hkl 1 1 1
- 2θ 44.5, d = 2.036 Å, I = 100, hkl 2 2 0
- 2θ 64.7, d = 1.440 Å, I = 14, hkl 4 0 0
- 2θ 81.9, d = 1.176 Å, I = 28, hkl 4 2 2

No. 4
Starting from a DFT-relaxed cell (GGA-PBE, the Materials Project), the powder XRD pattern of CrNi3 was computed for λ = 1.5418 Å (Cu Kα).
Kinematic intensities with the Lorentz-polarization factor, no thermal factor.

```
data_CrNi3
_symmetry_space_group_name_H-M 'P m -3 m'
_symmetry_Int_Tables_number 221
_symmetry_space_group_name_Hall '-P 4 2 3'
_cell_length_a 3.545
_cell_length_b 3.545
_cell_length_c 3.545
_cell_angle_alpha 90.00
_cell_angle_beta 90.00
_cell_angle_gamma 90.00
loop_
_atom_site_label
_atom_site_type_symbol
_atom_site_fract_x
_atom_site_fract_y
_atom_site_fract_z
_atom_site_occupancy
Cr1 Cr 0.000 0.000 0.000 1
Ni1 Ni 0.000 0.500 0.500 1
```

Peak list (5 most intense, 2θ from 10° to 90°, by angle)
- 2θ 25.1, d = 3.545 Å, I = 1, hkl 1 0 0
- 2θ 35.8, d = 2.506 Å, I = 1, hkl 1 1 0
- 2θ 44.3, d = 2.046 Å, I = 100, hkl 1 1 1
- 2θ 51.6, d = 1.772 Å, I = 46, hkl 2 0 0
- 2θ 75.9, d = 1.253 Å, I = 26, hkl 2 2 0

No. 5
Starting from a DFT-relaxed cell (GGA-PBE, the Materials Project), the powder XRD pattern of CrNi3 was computed for λ = 1.5418 Å (Cu Kα).
Kinematic intensities with the Lorentz-polarization factor, no thermal factor.

```
data_CrNi3
_symmetry_space_group_name_H-M 'I 4/m m m'
_symmetry_Int_Tables_number 139
_symmetry_space_group_name_Hall '-I 4 2'
_cell_length_a 3.505
_cell_length_b 3.505
_cell_length_c 7.153
_cell_angle_alpha 90.00
_cell_angle_beta 90.00
_cell_angle_gamma 90.00
loop_
_atom_site_label
_atom_site_type_symbol
_atom_site_fract_x
_atom_site_fract_y
_atom_site_fract_z
_atom_site_occupancy
Cr1 Cr 0.000 0.000 0.000 1
Ni1 Ni 0.000 0.000 0.500 1
Ni2 Ni 0.000 0.500 0.250 1
```

Peak list (6 most intense, 2θ from 10° to 90°, by angle)
- 2θ 28.4, d = 3.148 Å, I = 1, hkl 1 0 1
- 2θ 44.5, d = 2.037 Å, I = 100, hkl 1 1 2
- 2θ 51.1, d = 1.788 Å, I = 16, hkl 0 0 4
- 2θ 52.2, d = 1.753 Å, I = 30, hkl 2 0 0
- 2θ 76.0, d = 1.252 Å, I = 18, hkl 2 0 4
- 2θ 76.9, d = 1.239 Å, I = 9, hkl 2 2 0

No. 6
Starting from a DFT-relaxed cell (GGA-PBE, the Materials Project), the powder XRD pattern of Cr3Ni was computed for λ = 1.5418 Å (Cu Kα).
Kinematic intensities with the Lorentz-polarization factor, no thermal factor.

```
data_Cr3Ni
_symmetry_space_group_name_H-M 'I 4/m m m'
_symmetry_Int_Tables_number 139
_symmetry_space_group_name_Hall '-I 4 2'
_cell_length_a 3.590
_cell_length_b 3.590
_cell_length_c 7.154
_cell_angle_alpha 90.00
_cell_angle_beta 90.00
_cell_angle_gamma 90.00
loop_
_atom_site_label
_atom_site_type_symbol
_atom_site_fract_x
_atom_site_fract_y
_atom_site_fract_z
_atom_site_occupancy
Cr1 Cr 0.000 0.000 0.000 1
Cr2 Cr 0.000 0.500 0.250 1
Ni1 Ni 0.000 0.000 0.500 1
```

Peak list (6 most intense, 2θ from 10° to 90°, by angle)
- 2θ 27.8, d = 3.209 Å, I = 1, hkl 1 0 1
- 2θ 43.7, d = 2.070 Å, I = 100, hkl 1 1 2
- 2θ 50.9, d = 1.795 Å, I = 31, hkl 2 0 0
- 2θ 51.1, d = 1.788 Å, I = 15, hkl 0 0 4
- 2θ 74.8, d = 1.269 Å, I = 9, hkl 2 2 0
- 2θ 75.0, d = 1.267 Å, I = 17, hkl 2 0 4

No. 7
Starting from a DFT-relaxed cell (GGA-PBE, the Materials Project), the powder XRD pattern of CrNi3 was computed for λ = 1.5418 Å (Cu Kα).
Kinematic intensities with the Lorentz-polarization factor, no thermal factor.

```
data_CrNi3
_symmetry_space_group_name_H-M 'F m -3 m'
_symmetry_Int_Tables_number 225
_symmetry_space_group_name_Hall '-F 4 2 3'
_cell_length_a 5.636
_cell_length_b 5.636
_cell_length_c 5.636
_cell_angle_alpha 90.00
_cell_angle_beta 90.00
_cell_angle_gamma 90.00
loop_
_atom_site_label
_atom_site_type_symbol
_atom_site_fract_x
_atom_site_fract_y
_atom_site_fract_z
_atom_site_occupancy
Cr1 Cr 0.000 0.000 0.000 1
Ni1 Ni 0.000 0.000 0.500 1
Ni2 Ni 0.250 0.250 0.250 1
```

Peak list (4 most intense, 2θ from 10° to 90°, by angle)
- 2θ 27.4, d = 3.254 Å, I = 1, hkl 1 1 1
- 2θ 45.5, d = 1.993 Å, I = 100, hkl 2 2 0
- 2θ 66.3, d = 1.409 Å, I = 15, hkl 4 0 0
- 2θ 84.1, d = 1.150 Å, I = 29, hkl 4 2 2

No. 8
Starting from a DFT-relaxed cell (GGA-PBE, the Materials Project), the powder XRD pattern of CrNi3 was computed for λ = 1.5418 Å (Cu Kα).
Kinematic intensities with the Lorentz-polarization factor, no thermal factor.

```
data_CrNi3
_symmetry_space_group_name_H-M 'R -3 m'
_symmetry_Int_Tables_number 166
_symmetry_space_group_name_Hall '-R 3 2"'
_cell_length_a 2.5013
_cell_length_b 2.5013
_cell_length_c 24.5554
_cell_angle_alpha 90.00
_cell_angle_beta 90.00
_cell_angle_gamma 120.00
loop_
_atom_site_label
_atom_site_type_symbol
_atom_site_fract_x
_atom_site_fract_y
_atom_site_fract_z
_atom_site_occupancy
Cr1 Cr 0.0000 0.0000 0.0000 1
Ni1 Ni 0.0000 0.0000 0.2505 1
Ni2 Ni 0.0000 0.0000 0.5000 1
```

Peak list (5 most intense, 2θ from 10° to 90°, by angle)
- 2θ 10.8, d = 8.185 Å, I = 1, hkl 0 0 3
- 2θ 44.3, d = 2.044 Å, I = 100, hkl 1 0 4
- 2θ 51.6, d = 1.770 Å, I = 46, hkl 0 1 8
- 2θ 76.0, d = 1.252 Å, I = 13, hkl 1 0 16
- 2θ 76.1, d = 1.251 Å, I = 13, hkl 1 1 0

No. 9
Starting from a DFT-relaxed cell (GGA-PBE, the Materials Project), the powder XRD pattern of Cr5NiS8 was computed for λ = 1.5418 Å (Cu Kα).
Kinematic intensities with the Lorentz-polarization factor, no thermal factor.

```
data_Cr5NiS8
_symmetry_space_group_name_H-M 'P -1'
_symmetry_Int_Tables_number 2
_cell_length_a 6.410
_cell_length_b 6.605
_cell_length_c 6.748
_cell_angle_alpha 105.61
_cell_angle_beta 105.40
_cell_angle_gamma 116.13
loop_
_symmetry_equiv_pos_as_xyz
'x,y,z'
'-x,-y,-z'
loop_
_atom_site_label
_atom_site_type_symbol
_atom_site_fract_x
_atom_site_fract_y
_atom_site_fract_z
_atom_site_occupancy
Cr1 Cr 0.000 0.000 0.000 1
Cr2 Cr 0.233 0.708 0.477 1
Cr3 Cr 0.236 0.720 0.977 1
Ni1 Ni 0.000 0.000 0.500 1
S1 S 0.208 0.445 0.656 1
S2 S 0.215 0.449 0.155 1
S3 S 0.293 0.024 0.329 1
S4 S 0.294 0.022 0.827 1
```

Peak list (12 most intense, 2θ from 10° to 90°, by angle)
- 2θ 17.2, d = 5.156 Å, I = 62, hkl 1 0 0
- 2θ 34.1, d = 2.631 Å, I = 56, hkl 0 2 -2
- 2θ 34.7, d = 2.587 Å, I = 60, hkl -1 1 2
- 2θ 34.8, d = 2.578 Å, I = 57, hkl 2 0 0
- 2θ 44.0, d = 2.057 Å, I = 45, hkl 1 -3 0
- 2θ 44.4, d = 2.040 Å, I = 59, hkl 1 -3 2
- 2θ 45.0, d = 2.015 Å, I = 45, hkl -2 2 2
- 2θ 45.5, d = 1.993 Å, I = 100, hkl -3 1 2
- 2θ 45.6, d = 1.987 Å, I = 52, hkl 3 -1 0
- 2θ 53.2, d = 1.721 Å, I = 49, hkl 2 2 -2
- 2θ 54.1, d = 1.695 Å, I = 42, hkl 1 1 2
- 2θ 54.4, d = 1.687 Å, I = 46, hkl 1 1 -4

No. 10
Starting from a DFT-relaxed cell (GGA-PBE, the Materials Project), the powder XRD pattern of Cr5NiS8 was computed for λ = 1.5418 Å (Cu Kα).
Kinematic intensities with the Lorentz-polarization factor, no thermal factor.

```
data_Cr5NiS8
_symmetry_space_group_name_H-M 'P 1 2/m 1'
_symmetry_Int_Tables_number 10
_cell_length_a 5.991
_cell_length_b 3.442
_cell_length_c 10.906
_cell_angle_alpha 90.00
_cell_angle_beta 91.11
_cell_angle_gamma 90.00
loop_
_symmetry_equiv_pos_as_xyz
'x,y,z'
'-x,-y,-z'
'-x,y,-z'
'x,-y,z'
loop_
_atom_site_label
_atom_site_type_symbol
_atom_site_fract_x
_atom_site_fract_y
_atom_site_fract_z
_atom_site_occupancy
Cr1 Cr 0.000 0.000 0.000 1
Cr2 Cr 0.015 0.000 0.731 1
Cr3 Cr 0.485 0.500 0.757 1
Ni1 Ni 0.500 0.500 0.500 1
S1 S 0.155 0.500 0.131 1
S2 S 0.175 0.500 0.620 1
S3 S 0.324 0.000 0.876 1
S4 S 0.345 0.000 0.367 1
```

Peak list (12 most intense, 2θ from 10° to 90°, by angle)
- 2θ 16.3, d = 5.452 Å, I = 36, hkl 0 0 2
- 2θ 17.0, d = 5.207 Å, I = 51, hkl 1 0 1
- 2θ 29.9, d = 2.985 Å, I = 59, hkl 1 1 0
- 2θ 34.1, d = 2.629 Å, I = 100, hkl 1 1 -2
- 2θ 34.4, d = 2.605 Å, I = 71, hkl 2 0 2
- 2θ 35.9, d = 2.499 Å, I = 32, hkl 0 1 3
- 2θ 44.5, d = 2.036 Å, I = 41, hkl 2 0 -4
- 2θ 44.8, d = 2.023 Å, I = 94, hkl 1 1 -4
- 2θ 45.3, d = 2.003 Å, I = 87, hkl 1 1 4
- 2θ 45.4, d = 1.997 Å, I = 48, hkl 2 0 4
- 2θ 53.0, d = 1.727 Å, I = 88, hkl 3 1 0
- 2θ 53.2, d = 1.721 Å, I = 46, hkl 0 2 0

No. 11
Starting from a DFT-relaxed cell (GGA-PBE, the Materials Project), the powder XRD pattern of Cr2NiS4 was computed for λ = 1.5418 Å (Cu Kα).
Kinematic intensities with the Lorentz-polarization factor, no thermal factor.

```
data_Cr2NiS4
_symmetry_space_group_name_H-M 'C 1 2/m 1'
_symmetry_Int_Tables_number 12
_cell_length_a 12.213
_cell_length_b 3.133
_cell_length_c 5.686
_cell_angle_alpha 90.00
_cell_angle_beta 114.57
_cell_angle_gamma 90.00
loop_
_symmetry_equiv_pos_as_xyz
'x,y,z'
'-x,-y,-z'
'-x,y,-z'
'x,-y,z'
'x+1/2,y+1/2,z'
'-x+1/2,-y+1/2,-z'
'-x+1/2,y+1/2,-z'
'x+1/2,-y+1/2,z'
loop_
_atom_site_label
_atom_site_type_symbol
_atom_site_fract_x
_atom_site_fract_y
_atom_site_fract_z
_atom_site_occupancy
Cr1 Cr 0.241 0.000 0.184 1
Ni1 Ni 0.000 0.500 0.500 1
S1 S 0.108 0.500 0.943 1
S2 S 0.142 0.000 0.482 1
```

Peak list (12 most intense, 2θ from 10° to 90°, by angle)
- 2θ 17.9, d = 4.947 Å, I = 91, hkl 2 0 -1
- 2θ 32.6, d = 2.743 Å, I = 53, hkl 1 1 -1
- 2θ 36.1, d = 2.486 Å, I = 81, hkl 1 1 1
- 2θ 36.3, d = 2.473 Å, I = 39, hkl 4 0 -2
- 2θ 37.6, d = 2.392 Å, I = 47, hkl 3 1 0
- 2θ 44.1, d = 2.052 Å, I = 41, hkl 3 1 -2
- 2θ 45.9, d = 1.978 Å, I = 95, hkl 3 1 1
- 2θ 47.0, d = 1.933 Å, I = 43, hkl 6 0 -2
- 2θ 47.2, d = 1.926 Å, I = 100, hkl 5 1 -1
- 2θ 48.9, d = 1.862 Å, I = 43, hkl 1 1 2
- 2θ 56.8, d = 1.620 Å, I = 61, hkl 3 1 -3
- 2θ 59.0, d = 1.567 Å, I = 40, hkl 0 2 0

No. 12
Starting from a DFT-relaxed cell (GGA-PBE, the Materials Project), the powder XRD pattern of Ta5CrNiS10 was computed for λ = 1.5418 Å (Cu Kα).
Kinematic intensities with the Lorentz-polarization factor, no thermal factor.

```
data_Ta5CrNiS10
_symmetry_space_group_name_H-M 'P 3 m 1'
_symmetry_Int_Tables_number 156
_cell_length_a 3.3319
_cell_length_b 3.3319
_cell_length_c 62.6305
_cell_angle_alpha 90.00
_cell_angle_beta 90.00
_cell_angle_gamma 120.00
loop_
_symmetry_equiv_pos_as_xyz
'x,y,z'
'-y,x-y,z'
'-x+y,-x,z'
'-y,-x,z'
'-x+y,y,z'
'x,x-y,z'
loop_
_atom_site_label
_atom_site_type_symbol
_atom_site_fract_x
_atom_site_fract_y
_atom_site_fract_z
_atom_site_occupancy
Ta1 Ta 0.0000 0.0000 0.0000 1
Ta2 Ta 0.0000 0.0000 0.0951 1
Ta3 Ta 0.0000 0.0000 0.1976 1
Ta4 Ta 0.0000 0.0000 0.2973 1
Ta5 Ta 0.0000 0.0000 0.3977 1
Ta6 Ta 0.0000 0.0000 0.4971 1
Ta7 Ta 0.0000 0.0000 0.5978 1
Ta8 Ta 0.0000 0.0000 0.6974 1
Ta9 Ta 0.0000 0.0000 0.8001 1
Ta10 Ta 0.0000 0.0000 0.8949 1
Cr1 Cr 0.0000 0.0000 0.4474 1
Cr2 Cr 0.0000 0.0000 0.6476 1
Ni1 Ni 0.0000 0.0000 0.0475 1
Ni2 Ni 0.0000 0.0000 0.8476 1
S1 S 0.3333 0.6667 0.0699 1
S2 S 0.3333 0.6667 0.1202 1
S3 S 0.3333 0.6667 0.2724 1
S4 S 0.3333 0.6667 0.3223 1
S5 S 0.3333 0.6667 0.4712 1
S6 S 0.3333 0.6667 0.5220 1
S7 S 0.3333 0.6667 0.6714 1
S8 S 0.3333 0.6667 0.7223 1
S9 S 0.3333 0.6667 0.8699 1
S10 S 0.3333 0.6667 0.9200 1
S11 S 0.6667 0.3333 0.0251 1
S12 S 0.6667 0.3333 0.1727 1
S13 S 0.6667 0.3333 0.2224 1
S14 S 0.6667 0.3333 0.3728 1
S15 S 0.6667 0.3333 0.4237 1
S16 S 0.6667 0.3333 0.5729 1
S17 S 0.6667 0.3333 0.6237 1
S18 S 0.6667 0.3333 0.7750 1
S19 S 0.6667 0.3333 0.8252 1
S20 S 0.6667 0.3333 0.9749 1
```

Peak list (12 most intense, 2θ from 10° to 90°, by angle)
- 2θ 14.1, d = 6.263 Å, I = 100, hkl 0 0 10
- 2θ 28.5, d = 3.132 Å, I = 15, hkl 0 0 20
- 2θ 31.0, d = 2.885 Å, I = 58, hkl 1 0 0
- 2θ 34.2, d = 2.621 Å, I = 74, hkl 1 0 10
- 2θ 42.6, d = 2.122 Å, I = 91, hkl 0 1 20
- 2θ 54.2, d = 1.691 Å, I = 18, hkl 1 0 30
- 2θ 55.1, d = 1.666 Å, I = 28, hkl 1 1 0
- 2θ 57.2, d = 1.610 Å, I = 17, hkl 1 1 10
- 2θ 66.5, d = 1.406 Å, I = 11, hkl 2 0 10
- 2θ 68.1, d = 1.376 Å, I = 11, hkl 1 0 40
- 2θ 72.1, d = 1.310 Å, I = 19, hkl 2 0 20
- 2θ 85.0, d = 1.141 Å, I = 14, hkl 1 1 40